Tb2Fe17B3: calculated X-ray diffraction stick pattern (CuKα), based on the PBE geometry in Alexandria.

Peak list (12 most intense, 10 to 80 degrees two-theta, low angle first)
two_theta, d_spacing, I_rel
29.69, 3.009, 467
35.69, 2.515, 398
37.39, 2.405, 305
41.45, 2.178, 790
41.97, 2.153, 1000
42.96, 2.106, 243
43.48, 2.081, 480
47.09, 1.930, 174
60.46, 1.531, 249
61.26, 1.513, 273
61.64, 1.505, 219
75.61, 1.258, 162

Structural model:
a b c (Å): 8.7136 8.7136 12.4854
angles (deg): 90.00 90.00 120.00
Space group R-3m (No. 166, hexagonal axes)
Asymmetric unit:
Tb  0.0000  0.0000  0.1563 [6 per cell]
Fe  0.0000  0.0000  0.4037 [6 per cell]
Fe  0.0000  0.2790  0.5000 [18 per cell]
Fe  0.0000  0.5000  0.0000 [9 per cell]
Fe  0.0074  0.5037  0.3426 [18 per cell]
B  0.0000  0.5000  0.5000 [9 per cell]